Computed powder X-ray diffraction pattern
Compound: KTbAg2Cl6
Radiation: λ = 1.5418 Å (Cu Kα)
Structure: a crystal structure in Alexandria, relaxed with PBE

The 10 most intense peaks (2θ from 5° to 70°), in order of falling intensity:
d/Å	2theta	I (rel.)	h k l
2.394	37.56	100	-2 1 3
3.814	23.32	72	1 -1 1
3.555	25.05	70	1 -2 0
5.201	17.05	51	-1 1 1
2.053	44.12	50	0 3 -1
3.117	28.64	44	1 -2 1
5.870	15.09	39	1 -1 0
2.601	34.49	35	2 0 0
2.099	43.09	34	1 2 0
6.478	13.67	19	0 0 1

Cell and atoms:
Cell lengths 7.1053, 7.1119, 7.6640 Å; angles 90.03, 117.57, 119.94 degrees
Space group P1 (No. 1)
One atom of each set of equivalent atoms:
K  0.0000  0.0000  0.0000 (multiplicity 1)
Tb  0.9707  0.4855  0.4555 (multiplicity 1)
Ag  0.5787  0.2893  0.8677 (multiplicity 1)
Ag  0.6051  0.8032  0.4080 (multiplicity 1)
Cl  0.1037  0.4464  0.1899 (multiplicity 1)
Cl  0.1089  0.2298  0.6657 (multiplicity 1)
Cl  0.4364  0.8790  0.6655 (multiplicity 1)
Cl  0.5336  0.0878  0.1905 (multiplicity 1)
Cl  0.7443  0.6578  0.1907 (multiplicity 1)
Cl  0.7873  0.5577  0.6662 (multiplicity 1)